Starting from DFT lattice parameters and positions (GGA-PBE), the powder X-ray diffraction pattern of Ac2NpNi3Rh12 was calculated for Cu Kα (λ = 1.5418 Å).
Intensities are scaled so that the largest is 100.

The 10 most intense peaks (10 to 90 degrees two-theta), in order of rising 2θ:
d (Å)  intensity
3.429  45
3.383  64
2.810  99
2.161  22
2.150  19
2.005  99
1.969  100
1.405  30
1.144  32
1.137  19

Lattice parameters (Å, degrees): 8.024 8.024 8.024 58.78 58.78 58.78
Element x y z (fractional)
Ac 0.116 0.116 0.116
Ac 0.884 0.884 0.884
Np 0.500 0.500 0.500
Ni 0.000 0.500 0.500
Ni 0.500 0.000 0.500
Ni 0.500 0.500 0.000
Rh 0.120 0.623 0.623
Rh 0.135 0.135 0.620
Rh 0.135 0.620 0.135
Rh 0.377 0.377 0.880
Rh 0.377 0.880 0.377
Rh 0.380 0.865 0.865
Rh 0.620 0.135 0.135
Rh 0.623 0.120 0.623
Rh 0.623 0.623 0.120
Rh 0.865 0.380 0.865
Rh 0.865 0.865 0.380
Rh 0.880 0.377 0.377